Diffraction record for CsLuS2O8. The X-ray powder pattern is calculated, not measured: it uses a PBE-relaxed structure and a wavelength of 1.5418 Å.

Structure:
Cell lengths 9.5264, 4.5397, 8.2363 Å; angles 90.00, 92.57, 90.00 degrees
Atoms (fractional coordinates):
Cs (0.0000, 0.0734, 0.2500)
Cs (0.0000, 0.9266, 0.7500)
Lu (0.5000, 0.0425, 0.7500)
Lu (0.5000, 0.9575, 0.2500)
S (0.3036, 0.4615, 0.4657)
S (0.3036, 0.5385, 0.9657)
S (0.6964, 0.4615, 0.0343)
S (0.6964, 0.5385, 0.5343)
O (0.1577, 0.4385, 0.9497)
O (0.1577, 0.5615, 0.4497)
O (0.3253, 0.2759, 0.6147)
O (0.3253, 0.7241, 0.1147)
O (0.3385, 0.2742, 0.3226)
O (0.3385, 0.7258, 0.8226)
O (0.4016, 0.2780, 0.9724)
O (0.4016, 0.7220, 0.4724)
O (0.5984, 0.2780, 0.5276)
O (0.5984, 0.7220, 0.0276)
O (0.6615, 0.2742, 0.1774)
O (0.6615, 0.7258, 0.6774)
O (0.6747, 0.2759, 0.8853)
O (0.6747, 0.7241, 0.3853)
O (0.8423, 0.4385, 0.5503)
O (0.8423, 0.5615, 0.0503)

Peak list (10 most intense, 15° ≤ 2θ ≤ 90°, low angle first)
- 2θ = 18.65°, rel. 32
- 2θ = 19.55°, rel. 17
- 2θ = 21.61°, rel. 21
- 2θ = 27.15°, rel. 75
- 2θ = 28.03°, rel. 32
- 2θ = 29.31°, rel. 100
- 2θ = 34.42°, rel. 20
- 2θ = 35.50°, rel. 16
- 2θ = 42.92°, rel. 16
- 2θ = 49.34°, rel. 21


Diffraction record for CsLuS2. The X-ray powder pattern is calculated, not measured: it uses a PBE-relaxed structure and a wavelength of 1.5418 Å.

Structure:
Cell lengths 4.0289, 4.0289, 24.0548 Å; angles 90.00, 90.00, 120.00 degrees
Atoms (fractional coordinates):
Cs (0.0000, 0.0000, 0.0000)
Cs (0.3333, 0.6667, 0.6667)
Cs (0.6667, 0.3333, 0.3333)
Lu (0.0000, 0.0000, 0.5000)
Lu (0.3333, 0.6667, 0.1667)
Lu (0.6667, 0.3333, 0.8333)
S (0.0000, 0.0000, 0.2264)
S (0.0000, 0.0000, 0.7736)
S (0.3333, 0.6667, 0.4403)
S (0.3333, 0.6667, 0.8931)
S (0.6667, 0.3333, 0.1069)
S (0.6667, 0.3333, 0.5597)

Peak list (10 most intense, 15° ≤ 2θ ≤ 90°, low angle first)
- 2θ = 22.17°, rel. 35
- 2θ = 26.60°, rel. 57
- 2θ = 29.60°, rel. 100
- 2θ = 39.57°, rel. 38
- 2θ = 45.00°, rel. 33
- 2θ = 45.82°, rel. 21
- 2θ = 50.72°, rel. 24
- 2θ = 54.79°, rel. 17
- 2θ = 65.71°, rel. 13
- 2θ = 73.52°, rel. 14


Diffraction record for CsLuS2. The X-ray powder pattern is calculated, not measured: it uses a PBE-relaxed structure and a wavelength of 1.5418 Å.

Structure:
Cell lengths 4.0304, 4.0304, 16.0579 Å; angles 90.00, 90.00, 120.00 degrees
Atoms (fractional coordinates):
Cs (0.3333, 0.6667, 0.2500)
Cs (0.6667, 0.3333, 0.7500)
Lu (0.0000, 0.0000, 0.0000)
Lu (0.0000, 0.0000, 0.5000)
S (0.3333, 0.6667, 0.5892)
S (0.3333, 0.6667, 0.9108)
S (0.6667, 0.3333, 0.0892)
S (0.6667, 0.3333, 0.4108)

Peak list (10 most intense, 15° ≤ 2θ ≤ 90°, low angle first)
- 2θ = 22.14°, rel. 40
- 2θ = 26.13°, rel. 16
- 2θ = 27.87°, rel. 100
- 2θ = 30.58°, rel. 46
- 2θ = 34.04°, rel. 20
- 2θ = 42.57°, rel. 47
- 2θ = 44.98°, rel. 37
- 2θ = 50.69°, rel. 27
- 2θ = 53.75°, rel. 16
- 2θ = 65.65°, rel. 15


Diffraction record for CsMg15. The X-ray powder pattern is calculated, not measured: it uses a PBE-relaxed structure and a wavelength of 1.5418 Å.

Structure:
Cell lengths 6.6345, 6.6345, 10.7769 Å; angles 90.00, 90.00, 120.00 degrees
Atoms (fractional coordinates):
Cs (0.0000, 0.0000, 0.0000)
Mg (0.0000, 0.0000, 0.5000)
Mg (0.0034, 0.5017, 0.5000)
Mg (0.3333, 0.6667, 0.2472)
Mg (0.3333, 0.6667, 0.7528)
Mg (0.3446, 0.1723, 0.2671)
Mg (0.3446, 0.1723, 0.7329)
Mg (0.4983, 0.5017, 0.5000)
Mg (0.4983, 0.9966, 0.5000)
Mg (0.5030, 0.0061, 0.0000)
Mg (0.5030, 0.4970, 0.0000)
Mg (0.8277, 0.1723, 0.2671)
Mg (0.8277, 0.1723, 0.7329)
Mg (0.8277, 0.6554, 0.2671)
Mg (0.8277, 0.6554, 0.7329)
Mg (0.9939, 0.4970, 0.0000)

Peak list (10 most intense, 15° ≤ 2θ ≤ 90°, low angle first)
- 2θ = 15.42°, rel. 18
- 2θ = 17.49°, rel. 29
- 2θ = 22.62°, rel. 19
- 2θ = 31.13°, rel. 27
- 2θ = 33.25°, rel. 25
- 2θ = 35.41°, rel. 100
- 2θ = 46.19°, rel. 17
- 2θ = 55.39°, rel. 17
- 2θ = 60.82°, rel. 18
- 2θ = 66.16°, rel. 19


Diffraction record for CsMg7. The X-ray powder pattern is calculated, not measured: it uses a PBE-relaxed structure and a wavelength of 1.5418 Å.

Structure:
Cell lengths 7.0154, 7.0154, 5.4459 Å; angles 90.00, 90.00, 120.00 degrees
Atoms (fractional coordinates):
Cs (0.0000, 0.0000, 0.0000)
Mg (0.0073, 0.5037, 0.0000)
Mg (0.1840, 0.3679, 0.5000)
Mg (0.1840, 0.8160, 0.5000)
Mg (0.4963, 0.5037, 0.0000)
Mg (0.4963, 0.9927, 0.0000)
Mg (0.6321, 0.8160, 0.5000)
Mg (0.6667, 0.3333, 0.5000)

Peak list (10 most intense, 15° ≤ 2θ ≤ 90°, low angle first)
- 2θ = 21.92°, rel. 53
- 2θ = 25.39°, rel. 16
- 2θ = 29.40°, rel. 32
- 2θ = 30.31°, rel. 19
- 2θ = 32.89°, rel. 24
- 2θ = 33.79°, rel. 100
- 2θ = 44.70°, rel. 23
- 2θ = 52.13°, rel. 29
- 2θ = 59.30°, rel. 19
- 2θ = 63.05°, rel. 19


Diffraction record for CsMg14Mn. The X-ray powder pattern is calculated, not measured: it uses a PBE-relaxed structure and a wavelength of 1.5418 Å.

Structure:
Cell lengths 6.4147, 6.4147, 10.7380 Å; angles 90.00, 90.00, 120.00 degrees
Atoms (fractional coordinates):
Cs (0.0000, 0.0000, 0.0000)
Mg (0.0067, 0.5034, 0.0000)
Mg (0.1635, 0.3271, 0.2863)
Mg (0.1635, 0.3271, 0.7137)
Mg (0.1635, 0.8365, 0.2863)
Mg (0.1635, 0.8365, 0.7137)
Mg (0.4966, 0.5034, 0.0000)
Mg (0.4966, 0.9933, 0.0000)
Mg (0.5056, 0.0112, 0.5000)
Mg (0.5056, 0.4944, 0.5000)
Mg (0.6667, 0.3333, 0.2392)
Mg (0.6667, 0.3333, 0.7608)
Mg (0.6729, 0.8365, 0.2863)
Mg (0.6729, 0.8365, 0.7137)
Mg (0.9888, 0.4944, 0.5000)
Mn (0.0000, 0.0000, 0.5000)

Peak list (10 most intense, 15° ≤ 2θ ≤ 90°, low angle first)
- 2θ = 15.95°, rel. 34
- 2θ = 23.04°, rel. 27
- 2θ = 32.23°, rel. 29
- 2θ = 33.37°, rel. 28
- 2θ = 36.42°, rel. 100
- 2θ = 47.08°, rel. 19
- 2θ = 57.47°, rel. 17
- 2θ = 61.65°, rel. 14
- 2θ = 68.11°, rel. 17
- 2θ = 69.97°, rel. 14


Diffraction record for CsMg6Mo. The X-ray powder pattern is calculated, not measured: it uses a PBE-relaxed structure and a wavelength of 1.5418 Å.

Structure:
Cell lengths 5.2996, 6.8062, 11.2226 Å; angles 90.00, 90.00, 90.00 degrees
Atoms (fractional coordinates):
Cs (0.0000, 0.0000, 0.0000)
Cs (0.0000, 0.5000, 0.5000)
Mg (0.0000, 0.0000, 0.4660)
Mg (0.0000, 0.2106, 0.7385)
Mg (0.0000, 0.2894, 0.2385)
Mg (0.0000, 0.5000, 0.9660)
Mg (0.0000, 0.7106, 0.2385)
Mg (0.0000, 0.7894, 0.7385)
Mg (0.5000, 0.0000, 0.2986)
Mg (0.5000, 0.2188, 0.5600)
Mg (0.5000, 0.2812, 0.0600)
Mg (0.5000, 0.5000, 0.7986)
Mg (0.5000, 0.7188, 0.0600)
Mg (0.5000, 0.7812, 0.5600)
Mo (0.5000, 0.0000, 0.7740)
Mo (0.5000, 0.5000, 0.2740)

Peak list (10 most intense, 15° ≤ 2θ ≤ 90°, low angle first)
- 2θ = 15.22°, rel. 53
- 2θ = 22.69°, rel. 40
- 2θ = 23.08°, rel. 39
- 2θ = 26.19°, rel. 15
- 2θ = 31.90°, rel. 24
- 2θ = 32.10°, rel. 21
- 2θ = 33.83°, rel. 33
- 2θ = 35.19°, rel. 100
- 2θ = 47.18°, rel. 16
- 2θ = 61.40°, rel. 19


Diffraction record for CsMg6Mo. The X-ray powder pattern is calculated, not measured: it uses a PBE-relaxed structure and a wavelength of 1.5418 Å.

Structure:
Cell lengths 3.9165, 10.2683, 10.3051 Å; angles 90.00, 90.00, 90.00 degrees
Atoms (fractional coordinates):
Cs (0.0000, 0.0000, 0.0000)
Cs (0.0000, 0.5000, 0.5000)
Mg (0.0000, 0.2461, 0.2551)
Mg (0.0000, 0.2539, 0.7551)
Mg (0.0000, 0.7461, 0.7551)
Mg (0.0000, 0.7539, 0.2551)
Mg (0.5000, 0.0000, 0.3029)
Mg (0.5000, 0.0000, 0.6991)
Mg (0.5000, 0.1992, 0.5040)
Mg (0.5000, 0.3008, 0.0040)
Mg (0.5000, 0.5000, 0.1991)
Mg (0.5000, 0.5000, 0.8029)
Mg (0.5000, 0.6992, 0.0040)
Mg (0.5000, 0.8008, 0.5040)
Mo (0.0000, 0.0000, 0.4994)
Mo (0.0000, 0.5000, 0.9994)

Peak list (10 most intense, 15° ≤ 2θ ≤ 90°, low angle first)
- 2θ = 17.24°, rel. 69
- 2θ = 22.70°, rel. 16
- 2θ = 24.48°, rel. 34
- 2θ = 28.65°, rel. 32
- 2θ = 33.63°, rel. 100
- 2θ = 34.82°, rel. 21
- 2θ = 34.95°, rel. 21
- 2θ = 45.74°, rel. 26
- 2θ = 59.32°, rel. 17
- 2θ = 61.84°, rel. 12


Diffraction record for CsNaMg6. The X-ray powder pattern is calculated, not measured: it uses a PBE-relaxed structure and a wavelength of 1.5418 Å.

Structure:
Cell lengths 5.7984, 6.7991, 12.1959 Å; angles 90.00, 90.00, 90.00 degrees
Atoms (fractional coordinates):
Cs (0.0000, 0.0000, 0.0000)
Cs (0.0000, 0.5000, 0.5000)
Na (0.0000, 0.0000, 0.4997)
Na (0.0000, 0.5000, 0.9997)
Mg (0.0000, 0.2468, 0.2507)
Mg (0.0000, 0.2532, 0.7507)
Mg (0.0000, 0.7468, 0.7507)
Mg (0.0000, 0.7532, 0.2507)
Mg (0.5000, 0.0000, 0.1749)
Mg (0.5000, 0.0000, 0.6684)
Mg (0.5000, 0.2404, 0.4092)
Mg (0.5000, 0.2596, 0.9092)
Mg (0.5000, 0.5000, 0.1684)
Mg (0.5000, 0.5000, 0.6749)
Mg (0.5000, 0.7404, 0.9092)
Mg (0.5000, 0.7596, 0.4092)

Peak list (10 most intense, 15° ≤ 2θ ≤ 90°, low angle first)
- 2θ = 15.28°, rel. 24
- 2θ = 21.14°, rel. 27
- 2θ = 21.42°, rel. 52
- 2θ = 30.10°, rel. 31
- 2θ = 30.84°, rel. 42
- 2θ = 33.20°, rel. 54
- 2θ = 33.92°, rel. 100
- 2θ = 43.63°, rel. 21
- 2θ = 56.83°, rel. 25
- 2θ = 62.09°, rel. 21


Diffraction record for CsNaMg14. The X-ray powder pattern is calculated, not measured: it uses a PBE-relaxed structure and a wavelength of 1.5418 Å.

Structure:
Cell lengths 10.9721, 6.6569, 6.6569 Å; angles 58.24, 90.00, 90.00 degrees
Atoms (fractional coordinates):
Cs (0.0000, 0.0000, 0.0000)
Na (0.0000, 0.4979, 0.4979)
Mg (0.0000, 0.0003, 0.4977)
Mg (0.0000, 0.4977, 0.0003)
Mg (0.2518, 0.6671, 0.6671)
Mg (0.2669, 0.1717, 0.1717)
Mg (0.2733, 0.1666, 0.6552)
Mg (0.2733, 0.6552, 0.1666)
Mg (0.5000, 0.0006, 0.0006)
Mg (0.5000, 0.4990, 0.9974)
Mg (0.5000, 0.5011, 0.5011)
Mg (0.5000, 0.9974, 0.4990)
Mg (0.7267, 0.1666, 0.6552)
Mg (0.7267, 0.6552, 0.1666)
Mg (0.7331, 0.1717, 0.1717)
Mg (0.7482, 0.6671, 0.6671)

Peak list (10 most intense, 15° ≤ 2θ ≤ 90°, low angle first)
- 2θ = 15.66°, rel. 20
- 2θ = 17.63°, rel. 32
- 2θ = 22.57°, rel. 20
- 2θ = 31.62°, rel. 27
- 2θ = 32.65°, rel. 48
- 2θ = 34.92°, rel. 54
- 2θ = 35.70°, rel. 100
- 2θ = 55.22°, rel. 18
- 2θ = 65.64°, rel. 19
- 2θ = 68.46°, rel. 19